Theoretical powder XRD pattern
Compound: LuAl3Pb2O8
Radiation: a wavelength of 1.5418 Å
Structure: DFT lattice parameters and positions (GGA-PBE)

Most intense lines, 2θ = 10–80°, in order of rising 2θ:
6.626 Å, I = 66; 4.686 Å, I = 30; 3.124 Å, I = 100; 2.963 Å, I = 77; 2.825 Å, I = 74; 2.209 Å, I = 48; 1.838 Å, I = 27; 1.803 Å, I = 42; 1.657 Å, I = 40; 1.631 Å, I = 26

Atomic structure:
abc: 9.3710 9.3710 9.3710
angles: 90.00 90.00 90.00
Atoms (fractional coordinates):
Lu: 0.0000 0.0000 0.0000
Lu: 0.0000 0.5000 0.5000
Lu: 0.5000 0.0000 0.5000
Lu: 0.5000 0.5000 0.0000
Al: 0.0000 0.2500 0.7500
Al: 0.0000 0.7500 0.2500
Al: 0.2500 0.0000 0.7500
Al: 0.2500 0.5000 0.7500
Al: 0.2500 0.7500 0.0000
Al: 0.2500 0.7500 0.5000
Al: 0.5000 0.2500 0.7500
Al: 0.5000 0.7500 0.2500
Al: 0.7500 0.0000 0.2500
Al: 0.7500 0.2500 0.0000
Al: 0.7500 0.2500 0.5000
Al: 0.7500 0.5000 0.2500
Pb: 0.1140 0.1140 0.3860
Pb: 0.1140 0.3860 0.1140
Pb: 0.3860 0.1140 0.1140
Pb: 0.3860 0.3860 0.3860
Pb: 0.6140 0.6140 0.6140
Pb: 0.6140 0.8860 0.8860
Pb: 0.8860 0.6140 0.8860
Pb: 0.8860 0.8860 0.6140
O: 0.0883 0.0883 0.7648
O: 0.0883 0.4117 0.7352
O: 0.0883 0.7352 0.4117
O: 0.0883 0.7648 0.0883
O: 0.1351 0.1351 0.1351
O: 0.1351 0.3649 0.3649
O: 0.2352 0.5883 0.5883
O: 0.2352 0.9117 0.9117
O: 0.2648 0.5883 0.9117
O: 0.2648 0.9117 0.5883
O: 0.3649 0.1351 0.3649
O: 0.3649 0.3649 0.1351
O: 0.4117 0.0883 0.7352
O: 0.4117 0.4117 0.7648
O: 0.4117 0.7352 0.0883
O: 0.4117 0.7648 0.4117
O: 0.5883 0.2352 0.5883
O: 0.5883 0.2648 0.9117
O: 0.5883 0.5883 0.2352
O: 0.5883 0.9117 0.2648
O: 0.6351 0.6351 0.8649
O: 0.6351 0.8649 0.6351
O: 0.7352 0.0883 0.4117
O: 0.7352 0.4117 0.0883
O: 0.7648 0.0883 0.0883
O: 0.7648 0.4117 0.4117
O: 0.8649 0.6351 0.6351
O: 0.8649 0.8649 0.8649
O: 0.9117 0.2352 0.9117
O: 0.9117 0.2648 0.5883
O: 0.9117 0.5883 0.2648
O: 0.9117 0.9117 0.2352


Theoretical powder XRD pattern
Compound: CdBiPO
Radiation: a wavelength of 1.5418 Å
Structure: DFT lattice parameters and positions (GGA-PBE)

Most intense lines, 2θ = 10–80°, in order of rising 2θ:
3.509 Å, I = 32; 3.273 Å, I = 86; 3.126 Å, I = 100; 2.813 Å, I = 52; 2.633 Å, I = 32; 2.374 Å, I = 40; 2.076 Å, I = 81; 1.730 Å, I = 41; 1.631 Å, I = 45; 1.329 Å, I = 25

Atomic structure:
abc: 10.8028 10.8028 10.8028
angles: 22.16 22.16 22.16
Atoms (fractional coordinates):
Cd: 0.1974 0.1974 0.1974
Cd: 0.8026 0.8026 0.8026
Bi: 0.3794 0.3794 0.3794
Bi: 0.6206 0.6206 0.6206
P: 0.1063 0.1063 0.1063
P: 0.8937 0.8937 0.8937
O: 0.3073 0.3073 0.3073
O: 0.6927 0.6927 0.6927


Theoretical powder XRD pattern
Compound: Y3Mg3GaCuPd
Radiation: a wavelength of 1.5418 Å
Structure: DFT lattice parameters and positions (GGA-PBE)

Most intense lines, 2θ = 10–80°, in order of rising 2θ:
6.554 Å, I = 20; 3.784 Å, I = 33; 2.748 Å, I = 89; 2.534 Å, I = 100; 2.477 Å, I = 28; 2.185 Å, I = 35; 2.106 Å, I = 30; 1.998 Å, I = 23; 1.475 Å, I = 19; 1.407 Å, I = 24

Atomic structure:
abc: 7.5683 7.5683 3.9966
angles: 90.00 90.00 120.00
Atoms (fractional coordinates):
Y: 0.0841 0.7407 0.0000
Y: 0.2593 0.3434 0.0000
Y: 0.6566 0.9159 0.0000
Mg: 0.4240 0.0918 0.5000
Mg: 0.6679 0.5760 0.5000
Mg: 0.9082 0.3321 0.5000
Ga: 0.0000 0.0000 0.5000
Cu: 0.6667 0.3333 0.0000
Pd: 0.3333 0.6667 0.5000


Theoretical powder XRD pattern
Compound: Zr2CoH5
Radiation: a wavelength of 1.5418 Å
Structure: DFT lattice parameters and positions (GGA-PBE)

Most intense lines, 2θ = 10–80°, in order of rising 2θ:
2.818 Å, I = 10; 2.696 Å, I = 100; 2.437 Å, I = 24; 2.178 Å, I = 28; 2.170 Å, I = 33; 1.602 Å, I = 20; 1.596 Å, I = 16; 1.466 Å, I = 11; 1.403 Å, I = 19; 1.243 Å, I = 10

Atomic structure:
abc: 6.8632 6.8632 5.6361
angles: 90.00 90.00 90.00
Atoms (fractional coordinates):
Zr: 0.0887 0.5887 0.2500
Zr: 0.0887 0.9113 0.7500
Zr: 0.4113 0.5887 0.7500
Zr: 0.4113 0.9113 0.2500
Zr: 0.5887 0.0887 0.7500
Zr: 0.5887 0.4113 0.2500
Zr: 0.9113 0.0887 0.2500
Zr: 0.9113 0.4113 0.7500
Co: 0.2500 0.2500 0.0074
Co: 0.2500 0.2500 0.5074
Co: 0.7500 0.7500 0.4926
Co: 0.7500 0.7500 0.9926
H: 0.0353 0.1663 0.5735
H: 0.0353 0.3337 0.0735
H: 0.1663 0.0353 0.0735
H: 0.1663 0.4647 0.5735
H: 0.2500 0.7500 0.0000
H: 0.2500 0.7500 0.5000
H: 0.3337 0.0353 0.5735
H: 0.3337 0.4647 0.0735
H: 0.4647 0.1663 0.0735
H: 0.4647 0.3337 0.5735
H: 0.5353 0.6663 0.4265
H: 0.5353 0.8337 0.9265
H: 0.6663 0.5353 0.9265
H: 0.6663 0.9647 0.4265
H: 0.7500 0.2500 0.0000
H: 0.7500 0.2500 0.5000
H: 0.8337 0.5353 0.4265
H: 0.8337 0.9647 0.9265
H: 0.9647 0.6663 0.9265
H: 0.9647 0.8337 0.4265